Starting from a PBE+U-relaxed structure, the powder diffractogram of Fe3O4F2 was computed for Cu Kα X-rays.
Peak positions follow from Bragg's law for the DFT cell and can differ from measured ones.

Most intense lines, 5° ≤ 2θ ≤ 70°, by angle:
| Position (°2θ) | intensity |
| --- | --- |
| 27.37 | 100 |
| 35.26 | 25 |
| 35.43 | 16 |
| 35.56 | 15 |
| 40.53 | 8 |
| 40.65 | 8 |
| 53.47 | 27 |
| 53.90 | 17 |
| 54.09 | 16 |
| 56.48 | 16 |
| 60.97 | 9 |
| 67.75 | 10 |

Cell and atoms:
a = 7.5843 Å, b = 4.6600 Å, c = 5.4890 Å
α = 90.00°, β = 93.11°, γ = 90.00°
Space group P2_1/c (No. 14)
Symmetry-distinct sites (fractional):
Fe 0.0000 0.0000 0.0000
Fe 0.3347 0.0372 0.3351
O 0.0962 0.1911 0.2969
O 0.4375 0.1769 0.6402
F 0.2356 0.6872 0.5256